SrRhO3: simulated X-ray powder pattern (CuKα), based on a PBE-relaxed structure.

Cell: 5.663 5.663 5.663 Å, 120.94 120.94 88.37°
Fractional coordinates of all 10 atoms:
Sr  0.250  0.750  0.500
Sr  0.750  0.250  0.500
Rh  0.000  0.000  0.000
Rh  0.500  0.500  0.000
O  0.188  0.688  0.876
O  0.250  0.250  0.000
O  0.312  0.188  0.500
O  0.688  0.812  0.500
O  0.750  0.750  0.000
O  0.812  0.312  0.124

The 10 most intense peaks (5 to 70 degrees two-theta), by angle:
- 21.89°, d 4.061, rel. 3
- 22.52°, d 3.947, rel. 4
- 31.61°, d 2.831, rel. 100
- 32.07°, d 2.791, rel. 57
- 44.63°, d 2.031, rel. 18
- 45.98°, d 1.974, rel. 30
- 56.00°, d 1.642, rel. 23
- 56.87°, d 1.619, rel. 45
- 66.01°, d 1.415, rel. 19
- 67.06°, d 1.396, rel. 8